Diffraction record for KHfW3. The X-ray diffraction stick pattern is computed, not measured: it uses a structure optimized by DFT (GGA-PBE) and Cu Kα, 1.54184 Å.
No peak broadening, texture or thermal motion is included.

Crystal structure
```
data_KHfW3
_cell_length_a 4.9750
_cell_length_b 4.9750
_cell_length_c 4.9750
_cell_angle_alpha 90.00
_cell_angle_beta 90.00
_cell_angle_gamma 90.00
_symmetry_space_group_name_H-M 'P m -3 m'
_symmetry_Int_Tables_number 221
_symmetry_space_group_name_Hall '-P 4 2 3'
loop_
_atom_site_label
_atom_site_type_symbol
_atom_site_fract_x
_atom_site_fract_y
_atom_site_fract_z
_atom_site_occupancy
K1 K 0.0000 0.0000 0.0000 1
Hf1 Hf 0.5000 0.5000 0.5000 1
W1 W 0.0000 0.5000 0.5000 1
```

Main lines, sorted by position (10 to 80 degrees two-theta):
two_theta  d_spacing  I (rel.)  h k l
17.8  4.975  97.5  1 0 0
31.1  2.872  57.1  1 1 1
36.1  2.488  100.0  2 0 0
40.5  2.225  50.9  2 1 0
52.0  1.759  71.0  2 2 0
55.4  1.658  26.3  3 0 0